(1)
# CdHg8Pb5
Calculated powder diffraction line list, copper Kα. Input: a cell relaxed with PBE.
Lines closer than 0.1° are merged.

```
CdHg8Pb5
1.0
5.5882 -5.7026 0.0000
5.5882 5.7026 0.0000
-5.0991 0.0000 6.2882
Cd Hg Pb
1 8 5
direct
0.0000 0.0000 0.0000
0.1157 0.7930 0.6652
0.2070 0.8843 0.3348
0.3732 0.2740 0.8876
0.4510 0.1516 0.2488
0.6388 0.1411 0.6987
0.7260 0.6268 0.1124
0.8484 0.5490 0.7512
0.8589 0.3612 0.3013
0.1006 0.4208 0.0717
0.3269 0.4304 0.5694
0.5696 0.6731 0.4306
0.5792 0.8994 0.9283
0.9165 0.0835 0.5000
```

Principal peaks in the range 10 to 90 degrees two-theta, in order of rising 2θ:
2θ/deg, I (rel.)
31.6, 604
31.9, 1000
32.4, 865
32.5, 955
34.1, 916
34.4, 747
34.5, 662
34.9, 916


(2)
# CdHg6Pb2
Calculated powder diffraction line list, copper Kα. Input: a cell relaxed with PBE.
Lines closer than 0.1° are merged.

```
CdHg6Pb2
1.0
8.2803 -4.4906 0.0000
8.2803 4.4906 0.0000
-0.2818 0.0000 3.3107
Cd Hg Pb
1 6 2
direct
0.0000 0.0000 0.0000
0.0052 0.6632 0.9154
0.3073 0.6927 0.5000
0.3368 0.9948 0.0846
0.6632 0.0052 0.9154
0.6927 0.3073 0.5000
0.9948 0.3368 0.0846
0.3353 0.3353 0.4677
0.6647 0.6647 0.5323
```

Principal peaks in the range 10 to 90 degrees two-theta, in order of rising 2θ:
2θ/deg, I (rel.)
28.8, 410
32.6, 597
34.1, 1000
36.1, 346
39.0, 295
58.5, 198
59.1, 240
68.2, 150


(3)
# Rb2CdHg3Pb4
Calculated powder diffraction line list, copper Kα. Input: a cell relaxed with PBE.
Lines closer than 0.1° are merged.

```
Rb2CdHg3Pb4
1.0
5.1820 0.0000 0.0000
0.0000 5.1820 0.0000
0.0000 0.0000 12.7288
Rb Cd Hg Pb
2 1 3 4
direct
0.0000 0.5000 0.2448
0.5000 0.0000 0.7552
0.5000 0.5000 0.0000
0.0000 0.0000 0.0000
0.0000 0.5000 0.6395
0.5000 0.0000 0.3605
0.0000 0.0000 0.5000
0.0000 0.5000 0.8724
0.5000 0.0000 0.1276
0.5000 0.5000 0.5000
```

Principal peaks in the range 10 to 90 degrees two-theta, in order of rising 2θ:
2θ/deg, I (rel.)
18.5, 511
27.2, 473
28.1, 1000
34.6, 877
37.4, 979
39.5, 480
49.8, 318
63.9, 377


(4)
# RbCd2Hg4Pb
Calculated powder diffraction line list, copper Kα. Input: a cell relaxed with PBE.
Lines closer than 0.1° are merged.

```
RbCd2Hg4Pb
1.0
2.4669 1.4242 11.6442
-2.4669 1.4242 11.6442
0.0000 -2.8485 11.6442
Rb Cd Hg Pb
1 2 4 1
direct
0.0000 0.0000 0.0000
0.2414 0.2414 0.2414
0.7586 0.7586 0.7586
0.1238 0.1238 0.1238
0.3983 0.3983 0.3983
0.6017 0.6017 0.6017
0.8762 0.8762 0.8762
0.5000 0.5000 0.5000
```

Principal peaks in the range 10 to 90 degrees two-theta, in order of rising 2θ:
2θ/deg, I (rel.)
29.2, 1000
33.1, 177
35.2, 354
36.4, 884
47.4, 268
54.3, 137
61.2, 250
65.5, 160


(5)
# Cd2Hg5Sb2Pb3
Calculated powder diffraction line list, copper Kα. Input: a cell relaxed with PBE.
Lines closer than 0.1° are merged.

```
Cd2Hg5Sb2Pb3
1.0
-2.2465 2.2465 17.1300
2.2465 -2.2465 17.1300
2.2465 2.2465 -17.1300
Cd Hg Sb Pb
2 5 2 3
direct
0.1346 0.1346 0.0000
0.8654 0.8654 0.0000
0.0000 0.0000 0.0000
0.0766 0.5766 0.5000
0.4234 0.9234 0.5000
0.5766 0.0766 0.5000
0.9234 0.4234 0.5000
0.2182 0.2182 0.0000
0.7818 0.7818 0.0000
0.3116 0.3116 0.0000
0.5000 0.5000 0.0000
0.6884 0.6884 0.0000
```

Principal peaks in the range 10 to 90 degrees two-theta, in order of rising 2θ:
2θ/deg, I (rel.)
28.6, 230
30.0, 231
32.2, 1000
35.1, 241
35.2, 242
40.1, 574
58.1, 196
68.0, 243


(6)
# Cd4SnHg2Pb2
Calculated powder diffraction line list, copper Kα. Input: a cell relaxed with PBE.
Lines closer than 0.1° are merged.

```
Cd4SnHg2Pb2
1.0
3.3444 0.0000 0.0000
-1.6722 2.8963 0.0000
0.0000 0.0000 24.5573
Cd Sn Hg Pb
4 1 2 2
direct
0.0000 0.0000 0.0000
0.0000 0.0000 0.2037
0.6667 0.3333 0.3045
0.6667 0.3333 0.5126
0.0000 0.0000 0.7614
0.0000 0.0000 0.4086
0.6667 0.3333 0.1014
0.6667 0.3333 0.6388
0.6667 0.3333 0.8854
```

Principal peaks in the range 10 to 90 degrees two-theta, in order of rising 2θ:
2θ/deg, I (rel.)
30.9, 508
32.8, 480
34.2, 511
36.0, 1000
45.7, 184
54.9, 423
65.5, 385
67.4, 159


(7)
# ThCdHgPb
Calculated powder diffraction line list, copper Kα. Input: a cell relaxed with PBE.
Lines closer than 0.1° are merged.

```
ThCdHgPb
1.0
4.5871 0.0000 0.0000
0.0000 4.7408 0.0000
0.0000 0.0000 4.9659
Th Cd Hg Pb
1 1 1 1
direct
0.0000 0.0000 0.0000
0.0000 0.5000 0.5000
0.5000 0.0000 0.5000
0.5000 0.5000 0.0000
```

Principal peaks in the range 10 to 90 degrees two-theta, in order of rising 2θ:
2θ/deg, I (rel.)
32.6, 1000
36.2, 190
38.0, 167
39.3, 152
53.4, 126
62.8, 155
65.2, 139
67.0, 128


(8)
# TlCd2Hg2Pb2
Calculated powder diffraction line list, copper Kα. Input: a cell relaxed with PBE.
Lines closer than 0.1° are merged.

```
TlCd2Hg2Pb2
1.0
4.8730 0.0000 0.0000
-2.4365 4.2201 0.0000
0.0000 0.0000 10.3094
Tl Cd Hg Pb
1 2 2 2
direct
0.0000 0.0000 0.0000
0.3333 0.6667 0.8589
0.6667 0.3333 0.1411
0.3333 0.6667 0.4374
0.6667 0.3333 0.5626
0.0000 0.0000 0.3149
0.0000 0.0000 0.6851
```

Principal peaks in the range 10 to 90 degrees two-theta, in order of rising 2θ:
2θ/deg, I (rel.)
21.1, 211
27.3, 631
33.6, 1000
36.9, 948
50.8, 318
64.4, 315
66.5, 172
75.4, 226


(9)
# TlCd2Hg2Pb
Calculated powder diffraction line list, copper Kα. Input: a cell relaxed with PBE.
Lines closer than 0.1° are merged.

```
TlCd2Hg2Pb
1.0
2.8341 1.6362 6.1378
-2.8341 1.6362 6.1378
0.0000 -3.2725 6.1378
Tl Cd Hg Pb
1 2 2 1
direct
0.0000 0.0000 0.0000
0.1706 0.1706 0.1706
0.8294 0.8294 0.8294
0.3298 0.3298 0.3298
0.6702 0.6702 0.6702
0.5000 0.5000 0.5000
```

Principal peaks in the range 10 to 90 degrees two-theta, in order of rising 2θ:
2θ/deg, I (rel.)
29.1, 406
31.6, 1000
43.5, 830
56.2, 197
64.5, 257
65.9, 122
69.7, 199
73.6, 177


(10)
# YCdHgPb
Calculated powder diffraction line list, copper Kα. Input: a cell relaxed with PBE.
Lines closer than 0.1° are merged.

```
YCdHgPb
1.0
4.4385 0.0000 0.0000
0.0000 4.6540 0.0000
0.0000 0.0000 4.9081
Y Cd Hg Pb
1 1 1 1
direct
0.0000 0.0000 0.0000
0.0000 0.5000 0.5000
0.5000 0.0000 0.5000
0.5000 0.5000 0.0000
```

Principal peaks in the range 10 to 90 degrees two-theta, in order of rising 2θ:
2θ/deg, I (rel.)
33.3, 1000
36.6, 194
38.7, 167
40.7, 146
54.3, 125
63.9, 154
66.6, 135
69.3, 121


(11)
# ZrCdHgPb
Calculated powder diffraction line list, copper Kα. Input: a cell relaxed with PBE.
Lines closer than 0.1° are merged.

```
ZrCdHgPb
1.0
4.3576 0.0000 0.0000
0.0000 4.4280 0.0000
0.0000 0.0000 4.7840
Zr Cd Hg Pb
1 1 1 1
direct
0.0000 0.0000 0.0000
0.0000 0.5000 0.5000
0.5000 0.0000 0.5000
0.5000 0.5000 0.0000
```

Principal peaks in the range 10 to 90 degrees two-theta, in order of rising 2θ:
2θ/deg, I (rel.)
34.4, 1000
37.6, 197
40.8, 158
41.4, 150
56.6, 120
65.8, 153
70.1, 127
71.1, 122


(12)
# CdHg4Pd15
Calculated powder diffraction line list, copper Kα. Input: a cell relaxed with PBE.
Lines closer than 0.1° are merged.

```
CdHg4Pd15
1.0
4.0612 0.0000 0.0000
0.0000 4.0612 0.0000
0.0000 0.0000 20.0756
Cd Hg Pd
1 4 15
direct
0.0000 0.0000 0.0000
0.0000 0.0000 0.1994
0.0000 0.0000 0.3998
0.0000 0.0000 0.6002
0.0000 0.0000 0.8006
0.0000 0.5000 0.0990
0.0000 0.5000 0.2995
0.0000 0.5000 0.5000
0.0000 0.5000 0.7005
0.0000 0.5000 0.9010
0.5000 0.0000 0.0990
0.5000 0.0000 0.2995
0.5000 0.0000 0.5000
0.5000 0.0000 0.7005
0.5000 0.0000 0.9010
0.5000 0.5000 0.0000
0.5000 0.5000 0.1990
0.5000 0.5000 0.3997
0.5000 0.5000 0.6003
0.5000 0.5000 0.8010
```

Principal peaks in the range 10 to 90 degrees two-theta, in order of rising 2θ:
2θ/deg, I (rel.)
38.5, 1000
44.6, 330
45.2, 159
64.9, 106
65.4, 208
78.1, 251
78.9, 122
82.6, 109


(13)
# Cd2Hg2Pd5
Calculated powder diffraction line list, copper Kα. Input: a cell relaxed with PBE.
Lines closer than 0.1° are merged.

```
Cd2Hg2Pd5
1.0
5.0417 0.0000 0.0000
1.8098 5.3011 0.0000
2.0448 0.7961 6.2896
Cd Hg Pd
2 2 5
direct
0.1425 0.3651 0.3083
0.8575 0.6349 0.6917
0.3208 0.1738 0.8595
0.6792 0.8262 0.1405
0.0878 0.8951 0.3034
0.2734 0.6776 0.9085
0.5000 0.5000 0.5000
0.7266 0.3224 0.0915
0.9122 0.1049 0.6966
```

Principal peaks in the range 10 to 90 degrees two-theta, in order of rising 2θ:
2θ/deg, I (rel.)
20.6, 269
38.0, 1000
38.3, 856
38.6, 867
38.7, 941
42.5, 651
44.5, 702
46.8, 450


(14)
# Cd5HgPd2
Calculated powder diffraction line list, copper Kα. Input: a cell relaxed with PBE.
Lines closer than 0.1° are merged.

```
Cd5HgPd2
1.0
4.5806 0.0000 0.0000
0.0000 8.5942 0.0000
0.0000 0.0000 8.6851
Cd Hg Pd
10 2 4
direct
0.0000 0.0000 0.0000
0.0000 0.3264 0.3248
0.0000 0.3264 0.6752
0.0000 0.6736 0.3248
0.0000 0.6736 0.6752
0.5000 0.1736 0.1752
0.5000 0.1736 0.8248
0.5000 0.5000 0.5000
0.5000 0.8264 0.1752
0.5000 0.8264 0.8248
0.0000 0.5000 0.0000
0.5000 0.0000 0.5000
0.0000 0.0000 0.3142
0.0000 0.0000 0.6858
0.5000 0.5000 0.1858
0.5000 0.5000 0.8142
```

Principal peaks in the range 10 to 90 degrees two-theta, in order of rising 2θ:
2θ/deg, I (rel.)
29.2, 199
30.3, 432
32.9, 202
36.7, 1000
37.0, 355
39.3, 429
42.7, 354
77.2, 213